Diffraction record for Li3Co5O10. The X-ray diffraction stick pattern is simulated, not measured: it uses the GGA+U geometry in Alexandria and Cu Kα (weighted mean of Kα1 and Kα2).
Kinematic intensities with the Lorentz-polarization factor, no thermal factor.

Crystal structure
a b c (Å): 9.989 9.989 15.659
angles (deg): 128.30 128.30 16.25
Fractional coordinates of all 36 atoms:
Li 0.000 0.000 0.000
Li 0.299 0.299 0.106
Li 0.387 0.387 0.773
Li 0.506 0.506 0.518
Li 0.611 0.611 0.218
Li 0.769 0.769 0.542
Co 0.049 0.049 0.852
Co 0.055 0.055 0.360
Co 0.251 0.251 0.759
Co 0.253 0.253 0.250
Co 0.449 0.449 0.651
Co 0.455 0.455 0.159
Co 0.645 0.645 0.051
Co 0.655 0.655 0.561
Co 0.849 0.849 0.449
Co 0.854 0.854 0.958
O 0.042 0.042 0.229
O 0.071 0.071 0.494
O 0.131 0.131 0.124
O 0.160 0.160 0.984
O 0.241 0.241 0.626
O 0.273 0.273 0.890
O 0.331 0.331 0.516
O 0.370 0.370 0.389
O 0.441 0.441 0.026
O 0.475 0.475 0.294
O 0.524 0.524 0.915
O 0.563 0.563 0.786
O 0.638 0.638 0.428
O 0.672 0.672 0.694
O 0.738 0.738 0.319
O 0.764 0.764 0.176
O 0.838 0.838 0.822
O 0.871 0.871 0.092
O 0.930 0.930 0.717
O 0.965 0.965 0.581

Most intense lines, 10° ≤ 2θ ≤ 90°, sorted by position:
2θ = 17.94°, rel. 100; 2θ = 37.04°, rel. 15; 2θ = 38.01°, rel. 8; 2θ = 39.36°, rel. 15; 2θ = 43.45°, rel. 15; 2θ = 46.10°, rel. 8; 2θ = 46.43°, rel. 7; 2θ = 49.39°, rel. 14; 2θ = 56.19°, rel. 10; 2θ = 66.48°, rel. 8